(1)
Diffraction record for TbOsRu. The powder X-ray diffraction pattern is calculated, not measured: it uses a PBE-relaxed structure and copper Kα.
No peak broadening, texture or thermal motion is included.

Top 12 peaks for 2θ from 10° to 90°, by angle:
2θ (°)  I (rel.)
20.0  19
32.6  28
33.5  46
38.9  57
39.3  54
39.7  26
39.9  100
40.6  44
41.9  43
62.8  14
63.2  26
70.3  43

Structural model:
```
TbOsRu
1.0
5.2414 0.0000 0.0000
0.0000 5.4863 0.0000
0.0000 0.0000 7.5653
Tb Os Ru
4 4 4
Cartesian
0.0000 1.3716 0.9298 Tb
0.0000 4.1147 6.6355 Tb
2.6207 1.3716 2.8529 Tb
2.6207 4.1147 4.7124 Tb
1.3103 1.3716 5.6740 Os
1.3103 4.1147 1.8913 Os
3.9310 1.3716 5.6740 Os
3.9310 4.1147 1.8913 Os
0.0000 0.0000 3.7826 Ru
0.0000 2.7432 3.7826 Ru
2.6207 0.0000 0.0000 Ru
2.6207 2.7432 0.0000 Ru
```


(2)
Diffraction record for Pm8Y6Pb. The powder X-ray diffraction pattern is calculated, not measured: it uses a PBE-relaxed structure and copper Kα.
No peak broadening, texture or thermal motion is included.

Top 12 peaks for 2θ from 10° to 90°, by angle:
2θ (°)  I (rel.)
10.9  14
25.8  25
29.1  17
29.2  17
32.2  100
33.2  47
40.1  22
50.9  14
51.6  18
58.7  9
62.1  13
62.2  8

Structural model:
```
Pm8Y6Pb
1.0
9.3740 0.0000 0.0000
-4.6870 8.1181 0.0000
0.0000 0.0000 6.6015
Pm Y Pb
8 6 1
Cartesian
-0.8876 2.2061 2.1367 Pm
-2.3327 7.7837 2.1367 Pm
1.4667 1.8717 4.4648 Pm
0.0000 5.4121 2.3020 Pm
4.6870 2.7060 4.2995 Pm
3.2203 6.2464 2.1367 Pm
7.0197 0.3344 4.4648 Pm
5.5746 5.9120 4.4648 Pm
-1.1842 3.6191 5.5164 Y
-0.9607 7.3341 5.5164 Y
2.5421 2.8351 1.0851 Y
2.1449 5.2830 5.5164 Y
5.6477 0.7840 1.0851 Y
5.8712 4.4990 1.0851 Y
0.0000 0.0000 0.0000 Pb
```


(3)
Diffraction record for AcTi2S4. The powder X-ray diffraction pattern is calculated, not measured: it uses a PBE-relaxed structure and copper Kα.
No peak broadening, texture or thermal motion is included.

Top 12 peaks for 2θ from 10° to 90°, by angle:
2θ (°)  I (rel.)
14.4  40
16.7  100
25.2  64
26.5  94
28.2  49
29.0  31
32.6  46
33.3  100
35.7  66
44.2  37
49.6  32
54.5  41

Structural model:
```
AcTi2S4
1.0
1.9446 -5.8685 0.0000
1.9446 5.8685 0.0000
0.0000 0.0000 12.3204
Ac Ti S
2 4 8
Cartesian
1.9446 4.4289 9.2403 Ac
1.9446 -4.4289 3.0801 Ac
1.9446 1.3427 6.8540 Ti
1.9446 1.3427 11.6267 Ti
1.9446 -1.3427 0.6938 Ti
1.9446 -1.3427 5.4664 Ti
0.0000 0.0000 0.0000 S
0.0000 0.0000 6.1602 S
1.9446 2.8106 1.2937 S
1.9446 2.8106 4.8665 S
1.9446 0.8144 9.2403 S
1.9446 -0.8144 3.0801 S
1.9446 -2.8106 7.4539 S
1.9446 -2.8106 11.0268 S
```


(4)
Diffraction record for LiSmPtO4. The powder X-ray diffraction pattern is calculated, not measured: it uses a PBE-relaxed structure and copper Kα.
No peak broadening, texture or thermal motion is included.

Top 12 peaks for 2θ from 10° to 90°, by angle:
2θ (°)  I (rel.)
15.8  100
17.2  42
30.1  22
32.0  34
32.2  28
33.0  16
34.7  27
37.5  43
41.1  17
43.7  13
48.3  14
56.9  25

Structural model:
```
LiSmPtO4
1.0
-3.1986 3.6284 4.3883
3.1986 -3.6284 4.3883
3.1986 3.6284 -4.3883
Li Sm Pt O
2 2 2 8
Cartesian
0.0000 1.8142 0.5395 Li
3.1986 1.8142 3.8488 Li
3.1986 0.0000 0.0000 Sm
0.0000 0.0000 4.3883 Sm
1.5993 1.8142 -2.1941 Pt
1.5993 -1.8142 2.1941 Pt
3.1986 3.1409 -2.3264 O
3.1986 -0.4875 2.3264 O
1.7370 1.8142 -0.1169 O
4.6602 1.8142 -0.1169 O
-1.4616 1.8142 4.5052 O
1.4616 1.8142 4.5052 O
0.0000 4.1159 2.0619 O
0.0000 0.4875 6.7146 O
```